The following is a computed powder diffractogram of LaInSi2. It was derived from the PBE geometry in Alexandria, using Cu Kα X-rays.
Intensities are scaled so that the largest is 100.

```
LaInSi2
1.0
5.720 -1.925 0.000
5.720 1.925 0.000
-1.550 0.000 4.271
La In Si
1 1 2
direct
0.000 0.000 0.000
0.220 0.220 0.687
0.402 0.402 0.408
0.757 0.757 0.197
```

The 10 most intense peaks (2θ = 5–70°), in order of rising 2θ:
| Position (°2θ) | intensity |
| --- | --- |
| 21.7 | 27 |
| 24.6 | 74 |
| 30.9 | 39 |
| 32.8 | 32 |
| 33.3 | 35 |
| 34.2 | 100 |
| 35.4 | 82 |
| 39.8 | 32 |
| 47.2 | 21 |
| 48.5 | 29 |